(1)
Diffraction record for Li2Cr3SbO8. The powder diffraction line list is simulated, not measured: it uses the GGA+U geometry in the Materials Project and Cu Ka.

Principal peaks in the range 10 to 90 degrees two-theta, in order of rising 2θ:
h k l  2θ (°)  Rel. int.
1 1 -1  19.49  100.0
0 2 2  25.24  30.3
1 1 -3  32.77  36.3
2 0 2  35.38  50.1
2 2 -1  36.01  27.4
2 2 3  45.00  27.7

Crystal structure
a = 5.955 Å, b = 10.335 Å, c = 9.666 Å
α = 90.00°, β = 90.06°, γ = 90.00°
Space group Cc (No. 9)
Unique sites:
Li1 0.000 0.000 0.000 (multiplicity 4)
Li2 0.000 0.333 0.413 (multiplicity 4)
Cr1 0.244 0.415 0.723 (multiplicity 4)
Cr2 0.257 0.086 0.223 (multiplicity 4)
Cr3 0.499 0.330 0.223 (multiplicity 4)
Sb1 0.000 0.333 0.997 (multiplicity 4)
O1 0.000 0.000 0.315 (multiplicity 4)
O2 0.000 0.166 0.104 (multiplicity 4)
O3 0.000 0.482 0.853 (multiplicity 4)
O4 0.001 0.333 0.616 (multiplicity 4)
O5 0.222 0.259 0.852 (multiplicity 4)
O6 0.248 0.083 0.605 (multiplicity 4)
O7 0.252 0.417 0.104 (multiplicity 4)
O8 0.277 0.241 0.353 (multiplicity 4)

(2)
Diffraction record for Sr2Y2W2O7. The powder diffraction line list is simulated, not measured: it uses the GGA+U geometry in the Materials Project and Cu Ka.

Principal peaks in the range 10 to 90 degrees two-theta, in order of rising 2θ:
h k l  2θ (°)  Rel. int.
0 2 0  29.60  39.2
0 0 2  30.51  44.6
6 1 1  30.97  100.0
8 1 1  36.98  38.9
0 2 2  43.03  31.7
6 3 1  53.38  22.6

Crystal structure
a = 23.836 Å, b = 6.035 Å, c = 5.861 Å
α = 90.00°, β = 90.00°, γ = 90.00°
Space group Ima2 (No. 46)
Unique sites:
Sr1 0.150 0.043 0.000 (multiplicity 8)
Y1 0.000 0.000 0.043 (multiplicity 4)
Y2 0.250 0.566 0.975 (multiplicity 4)
W1 0.068 0.502 0.039 (multiplicity 8)
O1 0.070 0.188 0.225 (multiplicity 8)
O2 0.071 0.682 0.361 (multiplicity 8)
O3 0.168 0.050 0.566 (multiplicity 8)
O4 0.250 0.596 0.601 (multiplicity 4)

(3)
Diffraction record for Ho2WO6. The powder diffraction line list is simulated, not measured: it uses the GGA+U geometry in the Materials Project and Cu Ka.

Principal peaks in the range 10 to 90 degrees two-theta, in order of rising 2θ:
h k l  2θ (°)  Rel. int.
1 2 0  25.85  33.6
1 1 2  26.48  64.8
1 2 1  27.38  100.0
1 1 3  33.35  67.0
2 0 0  34.06  34.2
1 5 1  53.99  29.8

Crystal structure
a = 5.265 Å, b = 9.120 Å, c = 9.976 Å
α = 90.00°, β = 90.00°, γ = 90.00°
Space group P2_12_12_1 (No. 19)
Unique sites:
Ho1 0.020 0.103 0.465 (multiplicity 4)
Ho2 0.038 0.219 0.872 (multiplicity 4)
W1 0.039 0.495 0.348 (multiplicity 4)
O1 0.086 0.843 0.030 (multiplicity 4)
O2 0.177 0.953 0.299 (multiplicity 4)
O3 0.180 0.639 0.819 (multiplicity 4)
O4 0.194 0.641 0.235 (multiplicity 4)
O5 0.232 0.115 0.067 (multiplicity 4)
O6 0.249 0.590 0.494 (multiplicity 4)